# 1
Starting from a crystal structure in Alexandria, relaxed with GGA-PBE, the X-ray diffraction stick pattern of BeMo2Ru was calculated for Cu Kα X-rays.
No peak broadening, texture or thermal motion is included.

Most intense lines, 2θ = 5–70°, by angle:
| 2theta | I (rel.) | index |
| --- | --- | --- |
| 20.49 | 13 | 0 0 2 |
| 24.04 | 22 | 0 1 1 |
| 30.66 | 13 | 1 0 1 |
| 36.37 | 6 | 1 1 0 |
| 38.12 | 8 | 0 1 3 |
| 41.67 | 26 | 0 0 4 |
| 42.11 | 100 | 1 1 2 |
| 44.24 | 22 | 0 2 0 |
| 59.72 | 9 | 2 0 0 |
| 62.40 | 15 | 0 2 4 |

Structure:
```
data_BeMo2Ru
_symmetry_space_group_name_H-M 'I m m m'
_symmetry_Int_Tables_number 71
_symmetry_space_group_name_Hall '-I 2 2'
_cell_length_a 3.097
_cell_length_b 4.094
_cell_length_c 8.669
_cell_angle_alpha 90.00
_cell_angle_beta 90.00
_cell_angle_gamma 90.00
loop_
_atom_site_label
_atom_site_type_symbol
_atom_site_fract_x
_atom_site_fract_y
_atom_site_fract_z
Be1 Be 0.000 0.000 0.000
Mo1 Mo 0.000 0.500 0.252
Ru1 Ru 0.000 0.000 0.500
```



# 2
Starting from a crystal structure in Alexandria, relaxed with GGA-PBE, the X-ray diffraction stick pattern of Be2MoRu3 was calculated for Cu Kα X-rays.
No peak broadening, texture or thermal motion is included.

Most intense lines, 2θ = 5–70°, by angle:
| 2theta | I (rel.) | index |
| --- | --- | --- |
| 9.84 | 18 | 0 0 1 |
| 29.83 | 14 | 0 0 3 |
| 31.25 | 34 | 1 0 0 |
| 32.84 | 24 | 1 0 1 |
| 37.25 | 25 | 1 0 2 |
| 40.14 | 12 | 0 0 4 |
| 43.74 | 100 | 1 0 3 |
| 44.78 | 55 | 1 1 0 |
| 61.68 | 13 | 1 1 4 |
| 65.19 | 17 | 2 0 0 |

Structure:
```
data_Be2MoRu3
_symmetry_space_group_name_H-M 'P 4/m m m'
_symmetry_Int_Tables_number 123
_symmetry_space_group_name_Hall '-P 4 2'
_cell_length_a 2.862
_cell_length_b 2.862
_cell_length_c 8.987
_cell_angle_alpha 90.00
_cell_angle_beta 90.00
_cell_angle_gamma 90.00
loop_
_atom_site_label
_atom_site_type_symbol
_atom_site_fract_x
_atom_site_fract_y
_atom_site_fract_z
Be1 Be 0.000 0.000 0.147
Mo1 Mo 0.000 0.000 0.500
Ru1 Ru 0.500 0.500 0.000
Ru2 Ru 0.500 0.500 0.304
```